Theoretical XRD peak list of Tl2CuIO6 for λ = 1.5418 Å (Cu Kα), from the PBE geometry in Alexandria.
Neutral-atom scattering factors, no anomalous dispersion.

Structure:
```
data_Tl2CuIO6
_cell_length_a 6.1985
_cell_length_b 6.1985
_cell_length_c 5.2836
_cell_angle_alpha 90.00
_cell_angle_beta 90.00
_cell_angle_gamma 120.00
_space_group_name_H-M_alt 'P -3 m 1'
_space_group_IT_number 164
_space_group_name_Hall '-P 3 2"'
loop_
_atom_site_label
_atom_site_fract_x
_atom_site_fract_y
_atom_site_fract_z
Tl1 0.3333 0.6667 0.2452
Cu1 0.0000 0.0000 0.5000
I1 0.0000 0.0000 0.0000
O1 0.1389 0.2777 0.7717
```

Largest 10 diffraction maxima, by intensity, 2θ from 5° to 70°:
2theta  I_rel  h k l
23.6  100  0 1 1
28.8  91  1 1 0
37.6  50  2 0 1
38.0  35  0 1 2
57.3  28  1 2 2
48.0  27  1 2 1
48.3  25  2 0 2
51.0  18  3 0 0
59.7  15  2 2 0
65.1  15  3 1 1